Calculated XRD peak list of Cs3ZnBi2 for Cu Kα (weighted mean of Kα1 and Kα2), from a structure optimized by DFT (PBE).
Lines closer than 0.1° are merged.

The 10 most intense peaks (5 to 70 degrees two-theta), in order of rising 2θ:
10.7 deg, I = 30
11.0 deg, I = 42
22.8 deg, I = 27
25.3 deg, I = 28
26.6 deg, I = 100
27.4 deg, I = 41
28.4 deg, I = 39
29.5 deg, I = 52
32.0 deg, I = 27
42.5 deg, I = 29

Cell and atoms:
```
Cs3ZnBi2
1.0
-4.808 8.038 3.892
4.808 -8.038 3.892
4.808 8.038 -3.892
Cs Zn Bi
6 2 4
direct
0.173 0.692 0.865 Cs
0.250 0.250 0.000 Cs
0.327 0.192 0.519 Cs
0.673 0.808 0.481 Cs
0.750 0.750 0.000 Cs
0.827 0.308 0.135 Cs
0.250 0.750 0.500 Zn
0.750 0.250 0.500 Zn
0.083 0.328 0.411 Bi
0.417 0.828 0.245 Bi
0.583 0.172 0.755 Bi
0.917 0.672 0.589 Bi
```